Simulated powder diffraction line list of Na4HgSe3 for λ = 1.5418 Å (Cu Kα), from the GGA-PBE geometry in Alexandria.

Crystal structure
Lattice parameters (Å, degrees): 8.1963 8.1963 10.0633 111.88 111.88 53.44
Sites, in units of the cell vectors:
Na1 0.0042 0.6662 0.0780
Na2 0.1569 0.8431 0.5000
Na3 0.2223 0.6245 0.7810
Na4 0.4308 0.7887 0.1838
Na5 0.6245 0.2223 0.2810
Na6 0.6662 0.0042 0.5780
Na7 0.7887 0.4308 0.6838
Na8 0.8431 0.1569 0.0000
Hg1 0.0825 0.4039 0.3660
Hg2 0.4039 0.0825 0.8660
Se1 0.0595 0.0816 0.2995
Se2 0.0816 0.0595 0.7995
Se3 0.4159 0.4236 0.0298
Se4 0.4236 0.4159 0.5298
Se5 0.7775 0.8066 0.8049
Se6 0.8066 0.7775 0.3049

Main lines, in order of rising 2θ (10 to 90 degrees two-theta):
- 2θ 15.13, I 51
- 2θ 18.39, I 100
- 2θ 19.41, I 37
- 2θ 21.43, I 52
- 2θ 27.41, I 31
- 2θ 28.47, I 31
- 2θ 35.57, I 32
- 2θ 43.68, I 34